For BaNi3C4O12, a DFT-relaxed cell (PBE+U, Alexandria) gives the computed powder XRD pattern in this record (Cu Kα).
Neutral-atom scattering factors, no anomalous dispersion.

Top 8 peaks for 2θ = 10–90°, by angle:
d 3.734, rel. 51
d 2.958, rel. 18
d 2.928, rel. 100
d 2.423, rel. 21
d 2.033, rel. 13
d 2.023, rel. 17
d 1.838, rel. 20
d 1.811, rel. 22

a = 6.2245 Å, b = 6.2245 Å, c = 6.2245 Å
α = 102.27°, β = 102.27°, γ = 102.27°
Positions (direct):
Ba1 0.0000 0.0000 0.0000
Ni1 0.0000 0.5470 0.4530
Ni2 0.4530 0.0000 0.5470
Ni3 0.5470 0.4530 0.0000
C1 0.0493 0.5000 0.9507
C2 0.5000 0.5000 0.5000
C3 0.5000 0.9507 0.0493
C4 0.9507 0.0493 0.5000
O1 0.0118 0.5952 0.7881
O2 0.0875 0.9125 0.5000
O3 0.2119 0.4048 0.9882
O4 0.3653 0.6347 0.5000
O5 0.4048 0.9882 0.2119
O6 0.5000 0.0875 0.9125
O7 0.5000 0.3653 0.6347
O8 0.5952 0.7881 0.0118
O9 0.6347 0.5000 0.3653
O10 0.7881 0.0118 0.5952
O11 0.9125 0.5000 0.0875
O12 0.9882 0.2119 0.4048